Calculated powder X-ray diffraction pattern
Compound: DyIn2Hg3
Radiation: Cu Ka
Structure: DFT lattice parameters and positions (PBE)
Peak positions follow from Bragg's law for the DFT cell and can differ from measured ones.

Main lines, sorted by position (10 to 90 degrees two-theta):
2θ (°)	d (Å)	intensity	(hkl)
33.61	2.666	100	1 3 1
36.26	2.477	20	0 6 0
37.68	2.387	18	2 0 0
42.82	2.112	13	0 0 2
53.29	1.719	13	2 6 0
57.33	1.607	11	0 6 2
58.34	1.582	10	2 0 2
63.54	1.464	15	1 9 1
65.43	1.426	15	3 3 1
70.65	1.333	12	2 6 2
72.56	1.303	11	1 3 3
88.37	1.106	7	3 9 1

Cell and atoms:
```
12
Lattice="4.7748 0.0000 0.0000 0.0000 14.8647 0.0000 0.0000 0.0000 4.2236" Properties=species:S:1:pos:R:3 pbc="T T T"
Dy 0.0000 0.0000 0.0000
Dy 2.3874 7.4323 0.0000
In 0.0000 4.8809 0.0000
In 0.0000 9.9838 0.0000
In 2.3874 2.5514 0.0000
In 2.3874 12.3132 0.0000
Hg 0.0000 2.4123 2.1118
Hg 0.0000 7.4323 2.1118
Hg 0.0000 12.4524 2.1118
Hg 2.3874 0.0000 2.1118
Hg 2.3874 5.0200 2.1118
Hg 2.3874 9.8447 2.1118
```